Record 1
Simulated powder diffractogram
Compound: Sm2HgC2
Radiation: a wavelength of 1.5418 Å
Structure: a crystal structure in Alexandria, relaxed with PBE
No peak broadening, texture or thermal motion is included.

Peak list (8 most intense, 2θ from 5° to 70°, most intense first)
- d = 3.115 Å, I 100, hkl 4 0 -2
- d = 2.522 Å, I 86, hkl 2 0 2
- d = 3.166 Å, I 83, hkl 1 1 1
- d = 1.933 Å, I 30, hkl 2 2 -1
- d = 2.432 Å, I 28, hkl 6 0 0
- d = 1.623 Å, I 28, hkl 4 2 1
- d = 2.595 Å, I 28, hkl 1 1 -2
- d = 2.005 Å, I 24, hkl 3 1 -3

a = 16.0800 Å, b = 4.0663 Å, c = 6.9136 Å
α = 90.00°, β = 114.85°, γ = 90.00°
Space group C2/c (No. 15)
Asymmetric unit:
Sm1 0.1527 0.1691 0.0943 [8 per cell]
Hg1 0.0000 0.3837 0.2500 [4 per cell]
C1 0.2249 0.3702 0.5164 [8 per cell]

Record 2
Simulated powder diffractogram
Compound: Tb4Pm3Pr
Radiation: a wavelength of 1.5418 Å
Structure: a crystal structure in Alexandria, relaxed with PBE
No peak broadening, texture or thermal motion is included.

Peak list (8 most intense, 2θ from 5° to 70°, most intense first)
- d = 2.953 Å, I 100, hkl 1 1 1
- d = 2.557 Å, I 45, hkl 1 1 -3
- d = 2.937 Å, I 33, hkl 0 0 4
- d = 1.802 Å, I 24, hkl 1 1 5
- d = 2.547 Å, I 22, hkl 2 0 2
- d = 1.543 Å, I 19, hkl 0 2 4
- d = 1.538 Å, I 19, hkl 3 1 3
- d = 1.808 Å, I 16, hkl 3 1 -1

a = 6.2585 Å, b = 3.6242 Å, c = 11.9393 Å
α = 90.00°, β = 100.27°, γ = 90.00°
Space group P2/m (No. 10)
Asymmetric unit:
Tb1 0.2490 0.0000 0.2490 [2 per cell]
Tb2 0.2504 0.5000 0.7508 [2 per cell]
Pm1 0.0000 0.0000 0.5000 [1 per cell]
Pm2 0.0000 0.5000 0.0000 [1 per cell]
Pm3 0.5000 0.0000 0.0000 [1 per cell]
Pr1 0.5000 0.5000 0.5000 [1 per cell]

Record 3
Simulated powder diffractogram
Compound: Pm3ThSb4
Radiation: a wavelength of 1.5418 Å
Structure: a crystal structure in Alexandria, relaxed with PBE
No peak broadening, texture or thermal motion is included.

Peak list (8 most intense, 2θ from 5° to 70°, most intense first)
- d = 3.181 Å, I 100, hkl 2 0 0
- d = 2.249 Å, I 77, hkl 2 2 0
- d = 1.423 Å, I 36, hkl 4 2 0
- d = 1.836 Å, I 28, hkl 2 2 2
- d = 1.590 Å, I 13, hkl 4 0 0
- d = 3.673 Å, I 5, hkl 1 1 1
- d = 1.918 Å, I 2, hkl 3 1 1
- d = 6.362 Å, I 2, hkl 1 0 0

a = 6.3617 Å, b = 6.3617 Å, c = 6.3617 Å
α = 90.00°, β = 90.00°, γ = 90.00°
Space group Pm-3m (No. 221)
Asymmetric unit:
Pm1 0.0000 0.0000 0.5000 [3 per cell]
Th1 0.5000 0.5000 0.5000 [1 per cell]
Sb1 0.0000 0.0000 0.0000 [1 per cell]
Sb2 0.0000 0.5000 0.5000 [3 per cell]

Record 4
Simulated powder diffractogram
Compound: KICl4
Radiation: a wavelength of 1.5418 Å
Structure: a crystal structure in Alexandria, relaxed with PBE
No peak broadening, texture or thermal motion is included.

Peak list (8 most intense, 2θ from 5° to 70°, most intense first)
- d = 6.294 Å, I 100, hkl 0 0 2
- d = 3.400 Å, I 48, hkl 1 0 2
- d = 4.504 Å, I 48, hkl 1 1 0
- d = 4.585 Å, I 38, hkl 1 1 -1
- d = 5.763 Å, I 37, hkl 0 1 2
- d = 3.964 Å, I 32, hkl 1 1 1
- d = 2.266 Å, I 24, hkl 1 5 -3
- d = 3.585 Å, I 23, hkl 1 2 1

a = 4.8771 Å, b = 14.6048 Å, c = 12.9223 Å
α = 90.00°, β = 103.88°, γ = 90.00°
Space group P2_1/c (No. 14)
Asymmetric unit:
K1 0.1403 0.1137 0.3713 [4 per cell]
I1 0.3344 0.1163 0.8030 [4 per cell]
Cl1 0.1112 0.5241 0.3554 [4 per cell]
Cl2 0.3133 0.1870 0.9733 [4 per cell]
Cl3 0.3492 0.0371 0.6189 [4 per cell]
Cl4 0.4512 0.7342 0.2470 [4 per cell]

Record 5
Simulated powder diffractogram
Compound: Tl2PS3
Radiation: a wavelength of 1.5418 Å
Structure: a crystal structure in Alexandria, relaxed with PBE
No peak broadening, texture or thermal motion is included.

Peak list (8 most intense, 2θ from 5° to 70°, most intense first)
- d = 3.405 Å, I 100, hkl 2 1 2
- d = 4.420 Å, I 56, hkl 1 0 -2
- d = 2.902 Å, I 50, hkl 0 1 -5
- d = 3.537 Å, I 43, hkl 1 2 0
- d = 2.439 Å, I 39, hkl 2 2 -3
- d = 3.164 Å, I 31, hkl 0 2 0
- d = 3.065 Å, I 29, hkl 0 2 1
- d = 5.308 Å, I 29, hkl 1 1 -1

a = 7.0052 Å, b = 7.0885 Å, c = 16.2129 Å
α = 87.74°, β = 78.26°, γ = 63.32°
Space group P-1 (No. 2)
Asymmetric unit:
Tl1 0.1039 0.2056 0.0627 [2 per cell]
Tl2 0.1504 0.2179 0.4517 [2 per cell]
Tl3 0.3016 0.6791 0.1591 [2 per cell]
Tl4 0.3385 0.4119 0.6930 [2 per cell]
P1 0.1627 0.9725 0.6615 [2 per cell]
P2 0.3987 0.0036 0.8497 [2 per cell]
S1 0.0023 0.7073 0.3460 [2 per cell]
S2 0.0424 0.1337 0.2698 [2 per cell]
S3 0.1229 0.3000 0.8700 [2 per cell]
S4 0.3101 0.8102 0.5472 [2 per cell]
S5 0.3327 0.7946 0.9297 [2 per cell]
S6 0.4425 0.8922 0.7163 [2 per cell]

Record 6
Simulated powder diffractogram
Compound: PaSn2PbO8
Radiation: a wavelength of 1.5418 Å
Structure: a crystal structure in Alexandria, relaxed with PBE
No peak broadening, texture or thermal motion is included.

Peak list (8 most intense, 2θ from 5° to 70°, most intense first)
- d = 3.624 Å, I 100, hkl 2 0 0
- d = 2.923 Å, I 97, hkl 1 1 2
- d = 1.927 Å, I 73, hkl 3 1 2
- d = 2.563 Å, I 28, hkl 2 2 0
- d = 1.540 Å, I 21, hkl 3 3 2
- d = 1.597 Å, I 19, hkl 2 0 4
- d = 5.078 Å, I 18, hkl 1 0 1
- d = 1.621 Å, I 18, hkl 4 2 0

a = 7.2490 Å, b = 7.2490 Å, c = 7.1152 Å
α = 90.00°, β = 90.00°, γ = 90.00°
Space group I-4m2 (No. 119)
Asymmetric unit:
Pa1 0.0000 0.0000 0.0000 [2 per cell]
Sn1 0.0000 0.0000 0.5000 [2 per cell]
Sn2 0.0000 0.5000 0.2500 [2 per cell]
Pb1 0.0000 0.5000 0.7500 [2 per cell]
O1 0.0000 0.1810 0.7083 [8 per cell]
O2 0.0000 0.2990 0.0634 [8 per cell]

Record 7
Simulated powder diffractogram
Compound: TaNbPd2
Radiation: a wavelength of 1.5418 Å
Structure: a crystal structure in Alexandria, relaxed with PBE
No peak broadening, texture or thermal motion is included.

Peak list (8 most intense, 2θ from 5° to 70°, most intense first)
- d = 2.428 Å, I 100, hkl 0 2 2
- d = 2.198 Å, I 89, hkl 2 0 2
- d = 2.163 Å, I 85, hkl 2 2 0
- d = 2.206 Å, I 29, hkl 0 1 3
- d = 1.404 Å, I 27, hkl 2 3 3
- d = 2.139 Å, I 23, hkl 0 3 1
- d = 2.440 Å, I 21, hkl 2 1 1
- d = 1.361 Å, I 18, hkl 2 2 4

a = 5.6444 Å, b = 6.7373 Å, c = 7.0053 Å
α = 90.00°, β = 90.00°, γ = 90.00°
Space group Imma (No. 74)
Asymmetric unit:
Ta1 0.0000 0.2500 0.0376 [4 per cell]
Nb1 0.0000 0.2500 0.4494 [4 per cell]
Pd1 0.2500 0.0472 0.7500 [8 per cell]

Record 8
Simulated powder diffractogram
Compound: Tm11Al9Cu4
Radiation: a wavelength of 1.5418 Å
Structure: a crystal structure in Alexandria, relaxed with PBE
No peak broadening, texture or thermal motion is included.

Peak list (8 most intense, 2θ from 5° to 70°, most intense first)
- d = 2.473 Å, I 100, hkl 0 6 1
- d = 3.469 Å, I 45, hkl 4 0 0
- d = 2.453 Å, I 33, hkl 4 6 0
- d = 3.527 Å, I 31, hkl 0 0 1
- d = 2.327 Å, I 24, hkl 3 5 1
- d = 2.600 Å, I 16, hkl 3 3 1
- d = 1.764 Å, I 14, hkl 0 0 2
- d = 1.432 Å, I 14, hkl 4 6 2

a = 13.8506 Å, b = 20.8537 Å, c = 3.5271 Å
α = 90.00°, β = 90.00°, γ = 90.00°
Space group Cmmm (No. 65)
Asymmetric unit:
Tm1 0.0000 0.0000 0.0000 [2 per cell]
Tm2 0.0000 0.1618 0.0000 [4 per cell]
Tm3 0.0000 0.3714 0.0000 [4 per cell]
Tm4 0.1938 0.5000 0.0000 [4 per cell]
Tm5 0.2379 0.1735 0.0000 [8 per cell]
Al1 0.0000 0.5000 0.5000 [2 per cell]
Al2 0.1021 0.2656 0.5000 [8 per cell]
Al3 0.1472 0.0699 0.5000 [8 per cell]
Cu1 0.1531 0.3987 0.5000 [8 per cell]

Record 9
Simulated powder diffractogram
Compound: Zr3TlC
Radiation: a wavelength of 1.5418 Å
Structure: a crystal structure in Alexandria, relaxed with PBE
No peak broadening, texture or thermal motion is included.

Peak list (8 most intense, 2θ from 5° to 70°, most intense first)
- d = 2.429 Å, I 100, hkl 2 2 -1
- d = 2.757 Å, I 91, hkl 1 1 2
- d = 2.720 Å, I 85, hkl 3 0 -2
- d = 2.009 Å, I 60, hkl 2 1 -4
- d = 2.743 Å, I 58, hkl 1 2 -1
- d = 2.583 Å, I 54, hkl 1 1 -3
- d = 2.780 Å, I 47, hkl 0 2 1
- d = 2.521 Å, I 34, hkl 1 2 1

a = 8.5235 Å, b = 5.9374 Å, c = 8.6168 Å
α = 90.00°, β = 112.32°, γ = 90.00°
Space group P2_1/c (No. 14)
Asymmetric unit:
Zr1 0.0488 0.0838 0.3501 [4 per cell]
Zr2 0.1805 0.5727 0.5369 [4 per cell]
Zr3 0.3382 0.1309 0.7544 [4 per cell]
Tl1 0.3854 0.6667 0.8937 [4 per cell]
C1 0.0724 0.2471 0.1022 [4 per cell]

Record 10
Simulated powder diffractogram
Compound: PmPrTmSc
Radiation: a wavelength of 1.5418 Å
Structure: a crystal structure in Alexandria, relaxed with PBE
No peak broadening, texture or thermal motion is included.

Peak list (8 most intense, 2θ from 5° to 70°, most intense first)
- d = 2.780 Å, I 100, hkl 1 1 2
- d = 2.843 Å, I 28, hkl 0 2 0
- d = 2.892 Å, I 25, hkl 0 0 4
- d = 1.629 Å, I 20, hkl 1 3 2
- d = 2.028 Å, I 18, hkl 0 2 4
- d = 1.647 Å, I 15, hkl 1 1 6
- d = 1.586 Å, I 14, hkl 2 2 0
- d = 3.192 Å, I 13, hkl 0 1 3

a = 3.8189 Å, b = 5.6870 Å, c = 11.5695 Å
α = 90.00°, β = 90.00°, γ = 90.00°
Space group Imm2 (No. 44)
Asymmetric unit:
Pm1 0.0000 0.0000 0.0000 [2 per cell]
Pr1 0.0000 0.5000 0.7757 [2 per cell]
Tm1 0.0000 0.5000 0.2376 [2 per cell]
Sc1 0.0000 0.0000 0.5112 [2 per cell]

Record 11
Simulated powder diffractogram
Compound: SrSnO3
Radiation: a wavelength of 1.5418 Å
Structure: a crystal structure in Alexandria, relaxed with PBE
No peak broadening, texture or thermal motion is included.

Peak list (8 most intense, 2θ from 5° to 70°, most intense first)
- d = 3.145 Å, I 100, hkl 1 0 4
- d = 2.841 Å, I 100, hkl 1 1 0
- d = 1.967 Å, I 59, hkl 2 -1 6
- d = 2.108 Å, I 39, hkl 0 2 4
- d = 1.693 Å, I 38, hkl 3 -1 4
- d = 4.217 Å, I 34, hkl 0 1 2
- d = 1.640 Å, I 31, hkl 3 0 0
- d = 2.725 Å, I 20, hkl 0 0 6

a = 5.6820 Å, b = 5.6820 Å, c = 16.3595 Å
α = 90.00°, β = 90.00°, γ = 120.00°
Space group R-3 (No. 148, hexagonal axes)
Asymmetric unit:
Sr1 0.0000 0.0000 0.1333 [6 per cell]
Sn1 0.0000 0.0000 0.3424 [6 per cell]
O1 0.0150 0.6144 0.9269 [18 per cell]

Record 12
Simulated powder diffractogram
Compound: LiTb2TeO6
Radiation: a wavelength of 1.5418 Å
Structure: a crystal structure in Alexandria, relaxed with PBE
No peak broadening, texture or thermal motion is included.

Peak list (8 most intense, 2θ from 5° to 70°, most intense first)
- d = 2.972 Å, I 100, hkl 1 0 4
- d = 2.835 Å, I 96, hkl 1 1 0
- d = 4.103 Å, I 71, hkl 0 1 2
- d = 1.870 Å, I 50, hkl 2 -1 6
- d = 2.051 Å, I 42, hkl 0 2 4
- d = 1.662 Å, I 42, hkl 3 -1 4
- d = 4.665 Å, I 32, hkl 1 0 1
- d = 1.637 Å, I 30, hkl 3 0 0

a = 5.6700 Å, b = 5.6700 Å, c = 14.9332 Å
α = 90.00°, β = 90.00°, γ = 120.00°
Space group R3 (No. 146, hexagonal axes)
Asymmetric unit:
Li1 0.0000 0.0000 0.0000 [3 per cell]
Tb1 0.0000 0.0000 0.2622 [3 per cell]
Tb2 0.0000 0.0000 0.7670 [3 per cell]
Te1 0.0000 0.0000 0.4722 [3 per cell]
O1 0.0415 0.3402 0.5390 [9 per cell]
O2 0.0620 0.6842 0.0477 [9 per cell]